Record 1
# K6U2Mo4O21
Theoretical XRD peak list, λ = 1.5418 Å (Cu Kα). Input: a PBE+U-relaxed structure.
Intensities are scaled so that the largest is 1000.

Largest 6 diffraction maxima, sorted by position, 2θ = 10–80°:
11.27 deg, I 703; 12.27 deg, I 883; 15.16 deg, I 1000; 24.78 deg, I 397; 25.31 deg, I 601; 26.69 deg, I 509

```
data_K6U2Mo4O21
_symmetry_space_group_name_H-M 'P -1'
_symmetry_Int_Tables_number 2
_cell_length_a 7.975
_cell_length_b 8.096
_cell_length_c 10.586
_cell_angle_alpha 71.43
_cell_angle_beta 84.16
_cell_angle_gamma 80.25
loop_
_symmetry_equiv_pos_as_xyz
'x,y,z'
'-x,-y,-z'
loop_
_atom_site_label
_atom_site_type_symbol
_atom_site_fract_x
_atom_site_fract_y
_atom_site_fract_z
K1 K 0.070 0.110 0.223
K2 K 0.294 0.659 0.474
K3 K 0.401 0.225 0.841
U1 U 0.484 0.716 0.815
Mo1 Mo 0.153 0.653 0.107
Mo2 Mo 0.256 0.137 0.532
O1 O 0.034 0.202 0.513
O2 O 0.070 0.299 0.877
O3 O 0.208 0.732 0.928
O4 O 0.221 0.416 0.180
O5 O 0.242 0.772 0.193
O6 O 0.282 0.933 0.670
O7 O 0.348 0.301 0.570
O8 O 0.355 0.101 0.379
O9 O 0.442 0.571 0.721
O10 O 0.464 0.128 0.105
O11 O 0.500 0.500 0.000
```

Record 2
# KYMo2O8
Theoretical XRD peak list, λ = 1.5418 Å (Cu Kα). Input: a PBE+U-relaxed structure.
Intensities are scaled so that the largest is 1000.

Largest 6 diffraction maxima, sorted by position, 2θ = 10–80°:
22.28 deg, I 346; 28.43 deg, I 1000; 29.01 deg, I 371; 29.27 deg, I 585; 45.96 deg, I 380; 52.10 deg, I 190

```
data_KYMo2O8
_symmetry_space_group_name_H-M 'P b c n'
_symmetry_Int_Tables_number 60
_cell_length_a 5.147
_cell_length_b 18.941
_cell_length_c 8.103
_cell_angle_alpha 90.00
_cell_angle_beta 90.00
_cell_angle_gamma 90.00
loop_
_symmetry_equiv_pos_as_xyz
'x,y,z'
'-x,-y,-z'
'-x+1/2,-y+1/2,z+1/2'
'x+1/2,y+1/2,-z+1/2'
'x+1/2,-y+1/2,-z'
'-x+1/2,y+1/2,z'
'-x,y,-z+1/2'
'x,-y,z+1/2'
loop_
_atom_site_label
_atom_site_type_symbol
_atom_site_fract_x
_atom_site_fract_y
_atom_site_fract_z
K1 K 0.000 0.224 0.250
Y1 Y 0.000 0.003 0.750
Mo1 Mo 0.022 0.400 0.508
O1 O 0.099 0.314 0.987
O2 O 0.234 0.405 0.332
O3 O 0.242 0.408 0.683
O4 O 0.248 0.036 0.503
```

Record 3
# K6W2N4O3
Theoretical XRD peak list, λ = 1.5418 Å (Cu Kα). Input: a PBE+U-relaxed structure.
Intensities are scaled so that the largest is 1000.

Largest 6 diffraction maxima, sorted by position, 2θ = 10–80°:
15.88 deg, I 1000; 16.09 deg, I 823; 18.02 deg, I 873; 20.26 deg, I 690; 29.34 deg, I 781; 33.08 deg, I 735

```
data_K6W2N4O3
_symmetry_space_group_name_H-M 'P 1 21/c 1'
_symmetry_Int_Tables_number 14
_cell_length_a 6.840
_cell_length_b 9.669
_cell_length_c 11.758
_cell_angle_alpha 90.00
_cell_angle_beta 123.23
_cell_angle_gamma 90.00
loop_
_symmetry_equiv_pos_as_xyz
'x,y,z'
'-x,-y,-z'
'-x,y+1/2,-z+1/2'
'x,-y+1/2,z+1/2'
loop_
_atom_site_label
_atom_site_type_symbol
_atom_site_fract_x
_atom_site_fract_y
_atom_site_fract_z
K1 K 0.047 0.155 0.432
K2 K 0.203 0.525 0.450
K3 K 0.405 0.212 0.280
W1 W 0.310 0.644 0.865
N1 N 0.042 0.673 0.861
N2 N 0.490 0.701 0.423
O1 O 0.241 0.596 0.691
O2 O 0.500 0.000 0.500
```

Record 4
# K4Na4NbW7O24
Theoretical XRD peak list, λ = 1.5418 Å (Cu Kα). Input: a PBE+U-relaxed structure.
Intensities are scaled so that the largest is 1000.

Largest 6 diffraction maxima, sorted by position, 2θ = 10–80°:
22.18 deg, I 834; 31.57 deg, I 1000; 45.25 deg, I 329; 50.94 deg, I 363; 56.21 deg, I 398; 65.91 deg, I 198

```
data_K4Na4NbW7O24
_symmetry_space_group_name_H-M 'P 4 m m'
_symmetry_Int_Tables_number 99
_cell_length_a 8.020
_cell_length_b 8.020
_cell_length_c 8.011
_cell_angle_alpha 90.00
_cell_angle_beta 90.00
_cell_angle_gamma 90.00
loop_
_symmetry_equiv_pos_as_xyz
'x,y,z'
'-y,x,z'
'-x,-y,z'
'y,-x,z'
'-x,y,z'
'y,x,z'
'x,-y,z'
'-y,-x,z'
loop_
_atom_site_label
_atom_site_type_symbol
_atom_site_fract_x
_atom_site_fract_y
_atom_site_fract_z
K1 K 0.249 0.249 0.000
Na1 Na 0.249 0.249 0.497
Nb1 Nb 0.000 0.000 0.251
W1 W 0.000 0.000 0.747
W2 W 0.000 0.500 0.250
W3 W 0.000 0.500 0.746
W4 W 0.500 0.500 0.249
W5 W 0.500 0.500 0.747
O1 O 0.000 0.000 0.500
O2 O 0.000 0.000 0.995
O3 O 0.000 0.250 0.744
O4 O 0.000 0.252 0.252
O5 O 0.000 0.500 0.005
O6 O 0.000 0.500 0.492
O7 O 0.244 0.500 0.252
O8 O 0.245 0.500 0.744
O9 O 0.500 0.500 0.010
O10 O 0.500 0.500 0.488
```

Please write out number 2 again, unchanged.
# KYMo2O8
Theoretical XRD peak list, λ = 1.5418 Å (Cu Kα). Input: a PBE+U-relaxed structure.
Intensities are scaled so that the largest is 1000.

Largest 6 diffraction maxima, sorted by position, 2θ = 10–80°:
22.28 deg, I 346; 28.43 deg, I 1000; 29.01 deg, I 371; 29.27 deg, I 585; 45.96 deg, I 380; 52.10 deg, I 190

```
data_KYMo2O8
_symmetry_space_group_name_H-M 'P b c n'
_symmetry_Int_Tables_number 60
_cell_length_a 5.147
_cell_length_b 18.941
_cell_length_c 8.103
_cell_angle_alpha 90.00
_cell_angle_beta 90.00
_cell_angle_gamma 90.00
loop_
_symmetry_equiv_pos_as_xyz
'x,y,z'
'-x,-y,-z'
'-x+1/2,-y+1/2,z+1/2'
'x+1/2,y+1/2,-z+1/2'
'x+1/2,-y+1/2,-z'
'-x+1/2,y+1/2,z'
'-x,y,-z+1/2'
'x,-y,z+1/2'
loop_
_atom_site_label
_atom_site_type_symbol
_atom_site_fract_x
_atom_site_fract_y
_atom_site_fract_z
K1 K 0.000 0.224 0.250
Y1 Y 0.000 0.003 0.750
Mo1 Mo 0.022 0.400 0.508
O1 O 0.099 0.314 0.987
O2 O 0.234 0.405 0.332
O3 O 0.242 0.408 0.683
O4 O 0.248 0.036 0.503
```

Which formula does entry 3 have?
K6W2N4O3

Number 4 is which compound?
K4Na4NbW7O24